Structure and theoretical powder XRD pattern of DyRh (a cell relaxed with GGA-PBE; CuKα).

Main lines, sorted by position (2θ from 15° to 90°):
| 2theta | I (rel.) |
| --- | --- |
| 26.0 | 5 |
| 37.1 | 100 |
| 45.8 | 2 |
| 53.4 | 17 |
| 60.3 | 2 |
| 66.8 | 35 |
| 78.9 | 11 |
| 84.8 | 1 |

Structure:
```
2
Lattice="3.4302 0.0000 0.0000 0.0000 3.4302 0.0000 0.0000 0.0000 3.4302" Properties=species:S:1:pos:R:3 pbc="T T T"
Dy 0.0000 0.0000 0.0000
Rh 1.7151 1.7151 1.7151
```

=====

Structure and theoretical powder XRD pattern of Ba2MgCuO3 (a cell relaxed with GGA-PBE; CuKα).

Main lines, sorted by position (2θ from 15° to 90°):
| 2theta | I (rel.) |
| --- | --- |
| 23.3 | 10 |
| 26.6 | 34 |
| 26.7 | 100 |
| 32.1 | 14 |
| 32.7 | 34 |
| 33.9 | 36 |
| 42.8 | 23 |
| 47.1 | 17 |
| 47.7 | 12 |
| 49.4 | 22 |
| 54.9 | 10 |
| 55.0 | 11 |

Structure:
```
7
Lattice="10.1692 -1.9292 0.0000 10.1692 1.9292 0.0000 -0.7365 0.0000 3.8159" Properties=species:S:1:pos:R:3 pbc="T T T"
Ba 0.0000 0.0000 0.0000
Ba 12.5569 0.0000 2.4403
Mg 16.2980 0.0000 2.0169
Cu 6.4779 0.0000 0.1643
O 2.4964 0.0000 0.4610
O 6.1079 0.0000 2.0831
O 10.0674 0.0000 1.9375
```

=====

Structure and theoretical powder XRD pattern of Ca2Se3O8 (a cell relaxed with GGA-PBE; CuKα).

Main lines, sorted by position (2θ from 15° to 90°):
| 2theta | I (rel.) |
| --- | --- |
| 20.2 | 65 |
| 23.1 | 46 |
| 26.9 | 61 |
| 27.1 | 100 |
| 27.2 | 22 |
| 28.0 | 68 |
| 31.4 | 60 |
| 32.4 | 34 |
| 33.0 | 28 |
| 45.4 | 20 |
| 49.5 | 22 |
| 55.9 | 19 |

Structure:
```
26
Lattice="5.6035 0.0000 0.0000 -1.0778 8.3308 0.0000 -0.9001 -0.5515 8.8125" Properties=species:S:1:pos:R:3 pbc="T T T"
Ca 0.7686 2.7963 0.3394
Ca 0.2741 4.1749 5.7437
Ca 3.3515 3.6044 3.0688
Ca 2.8570 4.9830 8.4732
Se 0.6889 1.2679 3.7118
Se -0.2360 7.4082 7.2029
Se 0.8639 5.6067 2.0992
Se 2.7617 2.1726 6.7133
Se 3.8616 0.3711 1.6096
Se 2.9367 6.5114 5.1007
O -0.2770 0.0165 2.7715
O -0.5103 4.6762 1.5698
O -0.4923 2.3971 4.1996
O -0.6013 5.8111 7.6701
O 0.4363 0.0924 8.4674
O 1.5443 2.0554 2.4594
O 1.2653 5.0152 3.6634
O 1.5163 3.0277 7.5793
O 2.1093 4.7516 1.2332
O 2.3603 2.7641 5.1491
O 2.0813 5.7239 6.3531
O 3.1894 7.6869 0.3451
O 4.2270 1.9682 1.1424
O 4.1179 5.3822 4.6129
O 4.1360 3.1031 7.2428
O 3.9026 7.7628 6.0410
```

=====

Structure and theoretical powder XRD pattern of BaYMgCu2O5 (a cell relaxed with GGA-PBE; CuKα).

Main lines, sorted by position (2θ from 15° to 90°):
| 2theta | I (rel.) |
| --- | --- |
| 18.8 | 19 |
| 23.2 | 26 |
| 28.5 | 40 |
| 31.9 | 62 |
| 33.4 | 22 |
| 35.7 | 62 |
| 37.3 | 100 |
| 43.1 | 36 |
| 48.3 | 29 |
| 58.3 | 36 |
| 61.5 | 24 |
| 66.8 | 21 |

Structure:
```
10
Lattice="4.1938 0.0000 0.0000 0.0000 3.7649 0.0000 -0.0116 0.0000 9.4188" Properties=species:S:1:pos:R:3 pbc="T T T"
Ba 0.0000 0.0000 0.0000
Y 4.1878 0.0000 3.4887
Mg 2.0868 0.0000 6.7111
Cu 2.0953 1.8824 1.9022
Cu 2.0917 1.8824 4.6587
O -0.0009 1.8824 1.8156
O -0.0052 1.8824 4.7289
O 2.0915 0.0000 4.7477
O 2.0875 1.8824 7.6345
O 2.0977 0.0000 1.7672
```